# Er2Pt2O7
Theoretical PXRD pattern, λ = 1.5418 Å (Cu Kα). Input: a crystal structure in the Materials Project, relaxed with PBE.
Kinematic intensities with the Lorentz-polarization factor, no thermal factor.

Structural model:
Cell: 7.2385 7.2385 7.2385 Å, 60.00 60.00 60.00°
Atoms (fractional coordinates):
Er: 0.0000 0.0000 0.0000
Er: 0.0000 0.0000 0.5000
Er: 0.0000 0.5000 0.0000
Er: 0.5000 0.0000 0.0000
Pt: 0.0000 0.5000 0.5000
Pt: 0.5000 0.0000 0.5000
Pt: 0.5000 0.5000 0.0000
Pt: 0.5000 0.5000 0.5000
O: 0.1250 0.1250 0.1250
O: 0.1574 0.1574 0.5926
O: 0.1574 0.5926 0.1574
O: 0.1574 0.5926 0.5926
O: 0.4074 0.4074 0.8426
O: 0.4074 0.8426 0.4074
O: 0.4074 0.8426 0.8426
O: 0.5926 0.1574 0.1574
O: 0.5926 0.1574 0.5926
O: 0.5926 0.5926 0.1574
O: 0.8426 0.4074 0.4074
O: 0.8426 0.4074 0.8426
O: 0.8426 0.8426 0.4074
O: 0.8750 0.8750 0.8750

Most intense lines, 2θ from 10° to 90°, by intensity:
Position (°2θ)	I (rel.)
30.24	100.0
50.43	45.8
59.94	44.0
35.06	36.8
82.07	18.2
84.69	14.9
62.90	10.5
74.09	6.9
28.93	1.2
14.99	0.8

---

# Rb3ErO3
Theoretical PXRD pattern, λ = 1.5418 Å (Cu Kα). Input: a crystal structure in the Materials Project, relaxed with PBE.
Kinematic intensities with the Lorentz-polarization factor, no thermal factor.

Structural model:
Cell: 7.9780 7.3614 11.7284 Å, 90.00 94.12 90.00°
Atoms (fractional coordinates):
Rb: 0.0657 0.1220 0.1548
Rb: 0.0657 0.3780 0.6548
Rb: 0.3592 0.1709 0.9218
Rb: 0.3592 0.3291 0.4218
Rb: 0.3745 0.6961 0.8075
Rb: 0.3745 0.8039 0.3075
Rb: 0.6255 0.1961 0.6925
Rb: 0.6255 0.3039 0.1925
Rb: 0.6408 0.6709 0.5782
Rb: 0.6408 0.8291 0.0782
Rb: 0.9343 0.6220 0.3452
Rb: 0.9343 0.8780 0.8452
Er: 0.1611 0.5884 0.0669
Er: 0.1611 0.9116 0.5669
Er: 0.8389 0.0884 0.4331
Er: 0.8389 0.4116 0.9331
O: 0.1056 0.0490 0.4038
O: 0.1056 0.4510 0.9038
O: 0.2531 0.6459 0.5423
O: 0.2531 0.8541 0.0423
O: 0.3101 0.0597 0.6887
O: 0.3101 0.4403 0.1887
O: 0.6899 0.5597 0.8113
O: 0.6899 0.9403 0.3113
O: 0.7469 0.1459 0.9577
O: 0.7469 0.3541 0.4577
O: 0.8944 0.5490 0.0962
O: 0.8944 0.9510 0.5962

Most intense lines, 2θ from 10° to 90°, by intensity:
Position (°2θ)	I (rel.)
28.00	100.0
32.96	33.4
28.89	32.3
27.55	30.3
14.22	16.0
36.30	14.8
26.16	14.8
17.74	13.7
49.57	10.3
42.86	10.3

---

# RbErO2
Theoretical PXRD pattern, λ = 1.5418 Å (Cu Kα). Input: a crystal structure in the Materials Project, relaxed with PBE.
Kinematic intensities with the Lorentz-polarization factor, no thermal factor.

Structural model:
Cell: 6.8489 6.8489 6.8489 Å, 29.38 29.38 29.38°
Atoms (fractional coordinates):
Rb: 0.0000 0.0000 0.0000
Er: 0.5000 0.5000 0.5000
O: 0.2246 0.2246 0.2246
O: 0.7754 0.7754 0.7754

Most intense lines, 2θ from 10° to 90°, by intensity:
Position (°2θ)	I (rel.)
34.97	100.0
31.09	84.7
27.24	44.4
13.52	37.6
47.81	36.0
60.31	32.7
52.69	31.2
55.89	21.3
64.82	15.8
88.19	13.9

---

# Rb3ErO3
Theoretical PXRD pattern, λ = 1.5418 Å (Cu Kα). Input: a crystal structure in the Materials Project, relaxed with PBE.
Kinematic intensities with the Lorentz-polarization factor, no thermal factor.

Structural model:
Cell: 7.3011 7.3011 7.2397 Å, 94.85 94.85 116.11°
Atoms (fractional coordinates):
Rb: 0.2042 0.7958 0.0000
Rb: 0.2609 0.7391 0.5000
Rb: 0.3640 0.3640 0.1435
Rb: 0.6360 0.6360 0.8565
Rb: 0.7391 0.2609 0.5000
Rb: 0.7958 0.2042 0.0000
Er: 0.1763 0.1763 0.6488
Er: 0.8237 0.8237 0.3512
O: 0.1017 0.1017 0.3444
O: 0.1660 0.4427 0.7674
O: 0.4427 0.1660 0.7674
O: 0.5573 0.8340 0.2326
O: 0.8340 0.5573 0.2326
O: 0.8983 0.8983 0.6556

Most intense lines, 2θ from 10° to 90°, by intensity:
Position (°2θ)	I (rel.)
28.83	100.0
27.46	66.6
17.15	57.3
26.79	42.8
26.67	42.0
31.78	34.2
36.60	34.0
36.29	32.2
31.46	31.2
53.36	29.9